Entry 1:
The following is a simulated X-ray powder pattern of Na5W2N6. It was derived from DFT lattice parameters and positions (PBE), using Cu Kα.

Largest 12 diffraction maxima, in order of rising 2θ, 5 to 70 degrees two-theta:
- hkl 0 0 2, 2θ = 12.34°, intensity 24
- hkl 2 0 0, 2θ = 16.62°, intensity 60
- hkl 1 1 -1, 2θ = 17.71°, intensity 100
- hkl 1 1 1, 2θ = 18.13°, intensity 35
- hkl 2 0 -2, 2θ = 20.01°, intensity 30
- hkl 1 1 2, 2θ = 21.27°, intensity 21
- hkl 3 1 -1, 2θ = 29.39°, intensity 33
- hkl 2 0 4, 2θ = 31.05°, intensity 19
- hkl 3 1 -3, 2θ = 33.68°, intensity 18
- hkl 2 2 1, 2θ = 34.82°, intensity 17
- hkl 0 2 3, 2θ = 35.04°, intensity 45
- hkl 1 1 5, 2θ = 36.19°, intensity 21

Atomic structure:
```
data_Na5W2N6
_chemical_formula_sum 'Na20 W8 N24'
_cell_length_a 10.694
_cell_length_b 6.067
_cell_length_c 14.382
_cell_angle_alpha 90.00
_cell_angle_beta 94.22
_cell_angle_gamma 90.00
_symmetry_space_group_name_H-M 'C 1 2/c 1'
_symmetry_Int_Tables_number 15
_symmetry_space_group_name_Hall '-C 2yc'
loop_
_atom_site_label
_atom_site_type_symbol
_atom_site_fract_x
_atom_site_fract_y
_atom_site_fract_z
Na1 Na 0.000 0.069 0.250
Na2 Na 0.098 0.241 0.031
Na3 Na 0.138 0.468 0.714
W1 W 0.212 0.336 0.412
N1 N 0.050 0.384 0.364
N2 N 0.178 0.078 0.673
N3 N 0.244 0.041 0.464
```



Entry 2:
The following is a simulated X-ray powder pattern of Tb5Pr5Er. It was derived from DFT lattice parameters and positions (PBE), using Cu Kα.

Largest 12 diffraction maxima, in order of rising 2θ, 5 to 70 degrees two-theta:
- hkl 4 0 -2, 2θ = 27.16°, intensity 21
- hkl 4 0 1, 2θ = 28.15°, intensity 16
- hkl 5 1 0, 2θ = 29.18°, intensity 18
- hkl 0 2 0, 2θ = 29.47°, intensity 58
- hkl 3 1 -2, 2θ = 29.68°, intensity 17
- hkl 6 0 0, 2θ = 30.24°, intensity 33
- hkl 1 1 2, 2θ = 33.02°, intensity 100
- hkl 4 2 -2, 2θ = 40.50°, intensity 15
- hkl 6 2 0, 2θ = 42.74°, intensity 25
- hkl 4 0 -4, 2θ = 51.73°, intensity 15
- hkl 1 3 2, 2θ = 54.57°, intensity 24
- hkl 4 2 -4, 2θ = 60.65°, intensity 15

Atomic structure:
```
data_Tb5Pr5Er
_chemical_formula_sum 'Tb10 Pr10 Er2'
_cell_length_a 19.070
_cell_length_b 6.061
_cell_length_c 7.071
_cell_angle_alpha 90.00
_cell_angle_beta 111.60
_cell_angle_gamma 90.00
_symmetry_space_group_name_H-M 'C 1 2/m 1'
_symmetry_Int_Tables_number 12
_symmetry_space_group_name_Hall '-C 2y'
loop_
_atom_site_label
_atom_site_type_symbol
_atom_site_fract_x
_atom_site_fract_y
_atom_site_fract_z
Tb1 Tb 0.000 0.000 0.000
Tb2 Tb 0.122 0.500 0.124
Tb3 Tb 0.169 0.500 0.670
Pr1 Pr 0.000 0.500 0.500
Pr2 Pr 0.175 0.000 0.431
Pr3 Pr 0.175 0.000 0.920
Er1 Er 0.000 0.000 0.500
```